Record 1
# Cs2TmPa3O12
Theoretical powder XRD pattern, copper Kα. Input: a cell relaxed with GGA-PBE.
Kinematic intensities with the Lorentz-polarization factor, no thermal factor.

Crystal structure
a b c (Å): 8.2216 8.2216 19.2646
angles (deg): 90.00 90.00 120.00
Space group R-3m (No. 166, hexagonal axes)
One atom of each set of equivalent atoms:
1 Cs 0.0000 0.0000 0.1347
2 Tm 0.0000 0.0000 0.5000
3 Pa 0.0000 0.5000 0.0000
4 O 0.0751 0.5376 0.1026
5 O 0.0856 0.5428 0.3566

Peak list (10 most intense, 15 to 90 degrees two-theta, low angle first)
| 2θ (°) | I/Imax | h k l |
| --- | --- | --- |
| 25.44 | 65.2 | 0 2 1 |
| 25.73 | 100.0 | 1 1 3 |
| 26.30 | 34.4 | 0 1 5 |
| 26.70 | 80.2 | 2 0 2 |
| 27.79 | 31.1 | 0 0 6 |
| 40.52 | 33.0 | 3 0 3 |
| 44.06 | 43.8 | 2 2 0 |
| 45.47 | 37.8 | 2 0 8 |
| 52.89 | 32.5 | 2 2 6 |
| 61.39 | 17.6 | 1 4 3 |

=====

Record 2
# U7Se12
Theoretical powder XRD pattern, copper Kα. Input: a cell relaxed with GGA-PBE.
Kinematic intensities with the Lorentz-polarization factor, no thermal factor.

Crystal structure
a b c (Å): 11.4779 11.4779 3.9403
angles (deg): 90.00 90.00 120.00
Space group P-6 (No. 174)
One atom of each set of equivalent atoms:
1 U 0.0000 0.0000 0.0000
2 U 0.1475 0.7179 0.0000
3 U 0.4432 0.1526 0.5000
4 Se 0.0035 0.7914 0.5000
5 Se 0.1432 0.5255 0.5000
6 Se 0.2534 0.0040 0.0000
7 Se 0.5131 0.3705 0.0000

Peak list (10 most intense, 15 to 90 degrees two-theta, low angle first)
| 2θ (°) | I/Imax | h k l |
| --- | --- | --- |
| 23.68 | 100.0 | 2 1 0 |
| 28.92 | 32.4 | 2 0 1 |
| 32.94 | 86.2 | 1 2 1 |
| 35.40 | 48.1 | 3 0 1 |
| 38.82 | 35.8 | 2 2 1 |
| 39.91 | 44.9 | 3 1 1 |
| 41.64 | 66.2 | 1 4 0 |
| 46.04 | 42.9 | 0 0 2 |
| 52.44 | 25.4 | 2 1 2 |
| 63.82 | 38.6 | 1 4 2 |

=====

Record 3
# Cs3NpPa2N6
Theoretical powder XRD pattern, copper Kα. Input: a cell relaxed with GGA-PBE.
Kinematic intensities with the Lorentz-polarization factor, no thermal factor.

Crystal structure
a b c (Å): 6.2677 10.8498 7.3835
angles (deg): 90.00 106.46 90.00
Space group C2/m (No. 12)
One atom of each set of equivalent atoms:
1 Cs 0.0000 0.0000 0.0000
2 Cs 0.0000 0.3336 0.0000
3 Np 0.0000 0.5000 0.5000
4 Pa 0.0000 0.1666 0.5000
5 N 0.2104 0.3364 0.6402
6 N 0.2192 0.0000 0.6407

Peak list (10 most intense, 15 to 90 degrees two-theta, low angle first)
| 2θ (°) | I/Imax | h k l |
| --- | --- | --- |
| 25.15 | 57.1 | 0 0 2 |
| 29.73 | 100.0 | 2 0 0 |
| 33.20 | 95.5 | 1 3 1 |
| 44.74 | 37.0 | 2 0 2 |
| 50.45 | 30.7 | 0 6 0 |
| 52.01 | 26.9 | 1 3 3 |
| 57.19 | 36.7 | 3 3 1 |
| 59.66 | 14.9 | 2 6 0 |
| 61.74 | 16.0 | 4 0 0 |
| 75.08 | 15.5 | 3 3 3 |

=====

Record 4
# Tb4GeAs3
Theoretical powder XRD pattern, copper Kα. Input: a cell relaxed with GGA-PBE.
Kinematic intensities with the Lorentz-polarization factor, no thermal factor.

Crystal structure
a b c (Å): 5.8614 5.8614 5.8614
angles (deg): 90.00 90.00 90.00
Space group Pm-3m (No. 221)
One atom of each set of equivalent atoms:
1 Tb 0.0000 0.0000 0.0000
2 Tb 0.0000 0.5000 0.5000
3 Ge 0.5000 0.5000 0.5000
4 As 0.0000 0.0000 0.5000

Peak list (10 most intense, 15 to 90 degrees two-theta, low angle first)
| 2θ (°) | I/Imax | h k l |
| --- | --- | --- |
| 26.34 | 22.5 | 1 1 1 |
| 30.50 | 100.0 | 2 0 0 |
| 43.68 | 74.7 | 2 2 0 |
| 51.73 | 11.1 | 3 1 1 |
| 54.21 | 26.3 | 2 2 2 |
| 63.48 | 12.2 | 4 0 0 |
| 69.96 | 4.5 | 3 3 1 |
| 72.06 | 33.6 | 4 2 0 |
| 80.23 | 25.2 | 4 2 2 |
| 86.22 | 3.6 | 5 1 1 |

=====

Record 5
# Sm3ScS
Theoretical powder XRD pattern, copper Kα. Input: a cell relaxed with GGA-PBE.
Kinematic intensities with the Lorentz-polarization factor, no thermal factor.

Crystal structure
a b c (Å): 5.3696 5.3696 5.3696
angles (deg): 90.00 90.00 90.00
Space group Pm-3m (No. 221)
One atom of each set of equivalent atoms:
1 Sm 0.0000 0.0000 0.5000
2 Sc 0.5000 0.5000 0.5000
3 S 0.0000 0.0000 0.0000

Peak list (10 most intense, 15 to 90 degrees two-theta, low angle first)
| 2θ (°) | I/Imax | h k l |
| --- | --- | --- |
| 16.51 | 26.0 | 1 0 0 |
| 28.80 | 100.0 | 1 1 1 |
| 33.37 | 66.8 | 2 0 0 |
| 37.45 | 13.4 | 2 1 0 |
| 47.92 | 47.8 | 2 2 0 |
| 56.87 | 44.5 | 3 1 1 |
| 59.65 | 16.4 | 2 2 2 |
| 77.48 | 17.8 | 3 3 1 |
| 79.89 | 21.1 | 4 2 0 |
| 89.39 | 16.5 | 4 2 2 |

=====

Record 6
# BaPaSn2O8
Theoretical powder XRD pattern, copper Kα. Input: a cell relaxed with GGA-PBE.
Kinematic intensities with the Lorentz-polarization factor, no thermal factor.

Crystal structure
a b c (Å): 7.4909 7.4909 7.1722
angles (deg): 90.00 90.00 90.00
Space group I-4m2 (No. 119)
One atom of each set of equivalent atoms:
1 Ba 0.0000 0.0000 0.0000
2 Pa 0.0000 0.5000 0.7500
3 Sn 0.0000 0.0000 0.5000
4 Sn 0.0000 0.5000 0.2500
5 O 0.0000 0.2070 0.6761
6 O 0.0000 0.3338 0.0381

Peak list (10 most intense, 15 to 90 degrees two-theta, low angle first)
| 2θ (°) | I/Imax | h k l |
| --- | --- | --- |
| 17.12 | 14.4 | 1 0 1 |
| 23.76 | 100.0 | 2 0 0 |
| 30.09 | 88.9 | 1 1 2 |
| 33.85 | 27.2 | 2 2 0 |
| 45.91 | 70.3 | 3 1 2 |
| 48.62 | 16.7 | 4 0 0 |
| 54.81 | 17.2 | 4 2 0 |
| 56.94 | 17.9 | 2 0 4 |
| 58.25 | 20.4 | 3 3 2 |
| 69.09 | 17.5 | 5 1 2 |

=====

Record 7
# La6AgPt4
Theoretical powder XRD pattern, copper Kα. Input: a cell relaxed with GGA-PBE.
Kinematic intensities with the Lorentz-polarization factor, no thermal factor.

Crystal structure
a b c (Å): 4.2535 14.1357 21.7796
angles (deg): 90.00 90.00 90.00
Space group Cmcm (No. 63)
One atom of each set of equivalent atoms:
1 La 0.0000 0.0000 0.0000
2 La 0.0000 0.1774 0.2500
3 La 0.0000 0.2710 0.5836
4 La 0.0000 0.4593 0.1582
5 Ag 0.0000 0.1539 0.7500
6 Pt 0.0000 0.0945 0.1277
7 Pt 0.0000 0.3624 0.0416

Peak list (10 most intense, 15 to 90 degrees two-theta, low angle first)
| 2θ (°) | I/Imax | h k l |
| --- | --- | --- |
| 24.00 | 28.4 | 0 2 5 |
| 27.63 | 54.4 | 0 2 6 |
| 28.57 | 51.6 | 1 3 1 |
| 29.45 | 100.0 | 1 3 2 |
| 30.88 | 73.6 | 1 3 3 |
| 31.41 | 33.1 | 0 2 7 |
| 39.83 | 38.5 | 1 1 8 |
| 41.79 | 67.3 | 0 6 4 |
| 42.51 | 41.9 | 2 0 0 |
| 43.69 | 51.2 | 0 6 5 |

=====

Record 8
# Li2B2C
Theoretical powder XRD pattern, copper Kα. Input: a cell relaxed with GGA-PBE.
Kinematic intensities with the Lorentz-polarization factor, no thermal factor.

Crystal structure
a b c (Å): 4.1541 4.1541 5.3610
angles (deg): 90.00 90.00 90.00
Space group P-4m2 (No. 115)
One atom of each set of equivalent atoms:
1 Li 0.0000 0.0000 0.0000
2 Li 0.0000 0.5000 0.2524
3 Li 0.5000 0.5000 0.0000
4 B 0.2873 0.5000 0.6158
5 C 0.0000 0.5000 0.7962

Peak list (10 most intense, 15 to 90 degrees two-theta, low angle first)
| 2θ (°) | I/Imax | h k l |
| --- | --- | --- |
| 16.54 | 17.9 | 0 0 1 |
| 21.39 | 72.9 | 1 0 0 |
| 27.16 | 100.0 | 1 0 1 |
| 43.57 | 31.9 | 2 0 0 |
| 45.83 | 44.2 | 1 1 2 |
| 46.91 | 15.8 | 2 0 1 |
| 56.01 | 17.3 | 2 0 2 |
| 60.65 | 25.2 | 1 1 3 |
| 65.95 | 11.1 | 2 2 1 |
| 81.62 | 13.4 | 3 1 2 |

=====

Record 9
# Ag3AsO4
Theoretical powder XRD pattern, copper Kα. Input: a cell relaxed with GGA-PBE.
Kinematic intensities with the Lorentz-polarization factor, no thermal factor.

Crystal structure
a b c (Å): 8.8793 8.8793 10.7410
angles (deg): 90.00 90.00 120.00
Space group R3c (No. 161, hexagonal axes)
One atom of each set of equivalent atoms:
1 Ag 0.0286 0.2662 0.0000
2 As 0.0000 0.0000 0.2384
3 O 0.0000 0.0000 0.3989
4 O 0.2126 0.0937 0.1826

Peak list (10 most intense, 15 to 90 degrees two-theta, low angle first)
| 2θ (°) | I/Imax | h k l |
| --- | --- | --- |
| 28.55 | 47.3 | 2 0 2 |
| 31.90 | 100.0 | 2 1 1 |
| 32.12 | 95.2 | 1 1 3 |
| 35.01 | 24.5 | 3 0 0 |
| 35.11 | 58.4 | 1 2 2 |
| 35.41 | 21.4 | 1 0 4 |
| 52.57 | 21.7 | 3 2 1 |
| 53.01 | 22.6 | 1 2 5 |
| 54.74 | 31.8 | 2 3 2 |
| 59.10 | 18.9 | 4 0 4 |

=====

Record 10
# Ce2PuTl3
Theoretical powder XRD pattern, copper Kα. Input: a cell relaxed with GGA-PBE.
Kinematic intensities with the Lorentz-polarization factor, no thermal factor.

Crystal structure
a b c (Å): 3.1604 3.1604 17.0838
angles (deg): 90.00 90.00 90.00
Space group P4/mmm (No. 123)
One atom of each set of equivalent atoms:
1 Ce 0.0000 0.0000 0.1567
2 Pu 0.0000 0.0000 0.0000
3 Tl 0.5000 0.5000 0.3126
4 Tl 0.5000 0.5000 0.5000

Peak list (10 most intense, 15 to 90 degrees two-theta, low angle first)
| 2θ (°) | I/Imax | h k l |
| --- | --- | --- |
| 28.73 | 100.0 | 1 0 1 |
| 31.42 | 34.5 | 0 0 6 |
| 38.81 | 61.2 | 1 0 5 |
| 40.36 | 45.8 | 1 1 0 |
| 47.04 | 12.5 | 1 0 7 |
| 52.02 | 34.2 | 1 1 6 |
| 58.40 | 15.8 | 2 0 0 |
| 66.37 | 19.2 | 2 1 1 |
| 67.83 | 15.6 | 2 0 6 |
| 72.35 | 20.3 | 2 1 5 |

=====

Record 11
# Tm3Hf
Theoretical powder XRD pattern, copper Kα. Input: a cell relaxed with GGA-PBE.
Kinematic intensities with the Lorentz-polarization factor, no thermal factor.

Crystal structure
a b c (Å): 4.7824 4.7824 4.7824
angles (deg): 90.00 90.00 90.00
Space group Pm-3m (No. 221)
One atom of each set of equivalent atoms:
1 Tm 0.0000 0.0000 0.5000
2 Hf 0.5000 0.5000 0.5000

Peak list (7 most intense, 15 to 90 degrees two-theta, low angle first)
| 2θ (°) | I/Imax | h k l |
| --- | --- | --- |
| 32.43 | 100.0 | 1 1 1 |
| 37.62 | 50.4 | 2 0 0 |
| 54.25 | 35.4 | 2 2 0 |
| 64.64 | 41.8 | 3 1 1 |
| 67.89 | 12.0 | 2 2 2 |
| 80.30 | 5.7 | 4 0 0 |
| 89.28 | 18.3 | 3 3 1 |

=====

Record 12
# La8PrZn2
Theoretical powder XRD pattern, copper Kα. Input: a cell relaxed with GGA-PBE.
Kinematic intensities with the Lorentz-polarization factor, no thermal factor.

Crystal structure
a b c (Å): 17.1156 5.4697 8.5671
angles (deg): 90.00 114.53 90.00
Space group C2/m (No. 12)
One atom of each set of equivalent atoms:
1 La 0.0540 0.0000 0.2377
2 La 0.1112 0.5000 0.9750
3 La 0.1561 0.0000 0.7214
4 La 0.1911 0.5000 0.4683
5 Pr 0.0000 0.5000 0.5000
6 Zn 0.2194 0.0000 0.1305

Peak list (10 most intense, 15 to 90 degrees two-theta, low angle first)
| 2θ (°) | I/Imax | h k l |
| --- | --- | --- |
| 26.70 | 16.4 | 1 1 -2 |
| 30.59 | 87.4 | 1 1 2 |
| 30.82 | 100.0 | 5 1 -1 |
| 32.54 | 40.9 | 4 0 -3 |
| 32.75 | 48.5 | 0 2 0 |
| 40.96 | 15.1 | 6 0 1 |
| 46.83 | 29.5 | 4 2 -3 |
| 53.40 | 13.6 | 6 2 1 |
| 57.12 | 28.8 | 1 3 2 |
| 57.28 | 26.5 | 5 3 -1 |